1.
Calculated powder XRD pattern of Sc3InB for Cu Kα (weighted mean of Kα1 and Kα2), from the GGA-PBE geometry in the Materials Project.
Kinematic intensities with the Lorentz-polarization factor, no thermal factor.

Principal peaks in the range 5° ≤ 2θ ≤ 70°, low angle first:
18.9 deg, I 18
26.9 deg, I 28
33.1 deg, I 100
38.4 deg, I 56
47.5 deg, I 12
55.4 deg, I 35
66.1 deg, I 36
69.4 deg, I 11

Crystal structure
Cell lengths 4.6890, 4.6890, 4.6890 Å; angles 90.00, 90.00, 90.00 degrees
Positions (direct):
Sc1 0.0000 0.0000 0.5000
Sc2 0.0000 0.5000 0.0000
Sc3 0.5000 0.0000 0.0000
In1 0.5000 0.5000 0.5000
B1 0.0000 0.0000 0.0000

2.
Calculated powder XRD pattern of Y14MgRe2O28 for Cu Kα (weighted mean of Kα1 and Kα2), from the GGA-PBE geometry in the Materials Project.
Kinematic intensities with the Lorentz-polarization factor, no thermal factor.

Principal peaks in the range 5° ≤ 2θ ≤ 70°, low angle first:
14.2 deg, I 10
28.6 deg, I 100
33.0 deg, I 11
33.2 deg, I 9
47.5 deg, I 16
47.8 deg, I 17
56.3 deg, I 13
56.5 deg, I 12

Crystal structure
Cell lengths 7.6586, 7.6612, 10.7216 Å; angles 89.94, 89.85, 89.64 degrees
Positions (direct):
Y1 0.0000 0.0000 0.0000
Y2 0.0009 0.9623 0.4885
Y3 0.0069 0.5131 0.9945
Y4 0.2273 0.7670 0.7523
Y5 0.2348 0.2673 0.2661
Y6 0.2612 0.7289 0.2392
Y7 0.2661 0.2398 0.7662
Y8 0.4532 0.5032 0.5072
Y9 0.4622 0.9620 0.4927
Y10 0.4957 0.5047 0.9951
Y11 0.7319 0.2532 0.7734
Y12 0.7345 0.7669 0.2275
Y13 0.7497 0.2341 0.2259
Y14 0.7648 0.7408 0.7289
Mg1 0.7200 0.2250 0.5014
Re1 0.0003 0.5042 0.4980
Re2 0.5010 0.0052 0.9976
O1 0.0130 0.7688 0.1330
O2 0.0153 0.7222 0.6080
O3 0.0163 0.2180 0.1423
O4 0.1674 0.4234 0.6073
O5 0.2159 0.5188 0.3843
O6 0.2238 0.0144 0.6274
O7 0.2343 0.9857 0.3581
O8 0.2648 0.4845 0.1253
O9 0.2667 0.5197 0.8605
O10 0.2824 0.9781 0.9068
O11 0.4262 0.1357 0.1299
O12 0.4757 0.7839 0.0862
O13 0.4860 0.7387 0.6341
O14 0.5048 0.2583 0.6309
O15 0.5056 0.2381 0.9065
O16 0.5076 0.7238 0.3647
O17 0.5341 0.2940 0.3736
O18 0.6390 0.9360 0.8665
O19 0.7212 0.5218 0.8572
O20 0.7327 0.0114 0.0911
O21 0.7326 0.4952 0.1299
O22 0.7480 0.0041 0.3694
O23 0.7869 0.4595 0.5902
O24 0.7963 0.0402 0.6265
O25 0.9121 0.6630 0.3874
O26 0.9576 0.2844 0.4115
O27 0.9837 0.7702 0.8680
O28 0.9947 0.2399 0.8681

3.
Calculated powder XRD pattern of InCN2 for Cu Kα (weighted mean of Kα1 and Kα2), from the GGA-PBE geometry in the Materials Project.
Kinematic intensities with the Lorentz-polarization factor, no thermal factor.

Principal peaks in the range 5° ≤ 2θ ≤ 70°, low angle first:
18.0 deg, I 54
27.3 deg, I 51
32.9 deg, I 100
46.2 deg, I 39
48.2 deg, I 25
51.8 deg, I 21
59.5 deg, I 17
63.4 deg, I 14

Crystal structure
Cell lengths 3.7782, 3.7782, 9.8421 Å; angles 90.00, 90.00, 120.00 degrees
Positions (direct):
In1 0.0000 0.0000 0.0000
In2 0.0000 0.0000 0.5000
C1 0.3333 0.6667 0.2500
C2 0.6667 0.3333 0.7500
N1 0.3333 0.6667 0.1237
N2 0.3333 0.6667 0.3763
N3 0.6667 0.3333 0.6237
N4 0.6667 0.3333 0.8763

4.
Calculated powder XRD pattern of Ba2SnO16 for Cu Kα (weighted mean of Kα1 and Kα2), from the GGA-PBE geometry in the Materials Project.
Kinematic intensities with the Lorentz-polarization factor, no thermal factor.

Principal peaks in the range 5° ≤ 2θ ≤ 70°, low angle first:
12.8 deg, I 100
21.2 deg, I 23
22.9 deg, I 37
23.5 deg, I 17
25.8 deg, I 24
26.2 deg, I 19
30.5 deg, I 43
35.5 deg, I 16

Crystal structure
Cell lengths 6.8444, 7.8402, 8.2253 Å; angles 112.54, 111.14, 96.72 degrees
Positions (direct):
Ba1 0.1309 0.0370 0.3040
Ba2 0.8691 0.9630 0.6960
Sn1 0.5000 0.0000 0.0000
O1 0.1483 0.2336 0.6842
O2 0.1741 0.4167 0.6954
O3 0.2288 0.0161 0.0129
O4 0.2379 0.4328 0.5645
O5 0.2991 0.8961 0.6770
O6 0.3209 0.5467 0.1260
O7 0.3715 0.7162 0.1558
O8 0.3947 0.8745 0.5583
O9 0.6053 0.1255 0.4417
O10 0.6285 0.2838 0.8442
O11 0.6791 0.4533 0.8740
O12 0.7009 0.1039 0.3230
O13 0.7621 0.5672 0.4355
O14 0.7712 0.9839 0.9871
O15 0.8259 0.5833 0.3046
O16 0.8517 0.7664 0.3158

5.
Calculated powder XRD pattern of EuCd2In for Cu Kα (weighted mean of Kα1 and Kα2), from the GGA-PBE geometry in the Materials Project.
Kinematic intensities with the Lorentz-polarization factor, no thermal factor.

Principal peaks in the range 5° ≤ 2θ ≤ 70°, low angle first:
20.5 deg, I 1
23.7 deg, I 1
33.8 deg, I 100
39.8 deg, I 1
48.5 deg, I 18
60.4 deg, I 36

Crystal structure
Cell lengths 7.5081, 7.5081, 7.5081 Å; angles 90.00, 90.00, 90.00 degrees
Positions (direct):
Eu1 0.0000 0.0000 0.0000
Eu2 0.0000 0.5000 0.5000
Eu3 0.5000 0.0000 0.5000
Eu4 0.5000 0.5000 0.0000
Cd1 0.2500 0.2500 0.2500
Cd2 0.2500 0.2500 0.7500
Cd3 0.2500 0.7500 0.2500
Cd4 0.2500 0.7500 0.7500
Cd5 0.7500 0.2500 0.2500
Cd6 0.7500 0.2500 0.7500
Cd7 0.7500 0.7500 0.2500
Cd8 0.7500 0.7500 0.7500
In1 0.0000 0.0000 0.5000
In2 0.0000 0.5000 0.0000
In3 0.5000 0.0000 0.0000
In4 0.5000 0.5000 0.5000

6.
Calculated powder XRD pattern of Li5Sn5P6O24 for Cu Kα (weighted mean of Kα1 and Kα2), from the GGA-PBE geometry in the Materials Project.
Kinematic intensities with the Lorentz-polarization factor, no thermal factor.

Principal peaks in the range 5° ≤ 2θ ≤ 70°, low angle first:
19.4 deg, I 100
22.8 deg, I 19
29.9 deg, I 42
30.2 deg, I 23
30.3 deg, I 20
30.5 deg, I 38
33.9 deg, I 54
52.9 deg, I 19

Crystal structure
Cell lengths 9.1552, 9.1562, 9.2772 Å; angles 61.64, 61.45, 60.09 degrees
Positions (direct):
Li1 0.0000 0.0000 0.0000
Li2 0.0039 0.4769 0.5729
Li3 0.3185 0.1452 0.0076
Li4 0.3353 0.0142 0.7944
Li5 0.4462 0.6784 0.0100
Sn1 0.1498 0.8606 0.3109
Sn2 0.4809 0.1593 0.3256
Sn3 0.6397 0.3285 0.8354
Sn4 0.7847 0.4806 0.3926
Sn5 0.9839 0.6719 0.8200
P1 0.0729 0.0665 0.6191
P2 0.1653 0.5887 0.1336
P3 0.3822 0.3901 0.6163
P4 0.5773 0.8573 0.1135
P5 0.6983 0.7571 0.6200
P6 0.9052 0.2728 0.0948
O1 0.0140 0.9116 0.6661
O2 0.0580 0.5131 0.3232
O3 0.0865 0.6051 0.0084
O4 0.0909 0.1168 0.0936
O5 0.1318 0.0412 0.7621
O6 0.1513 0.7775 0.1092
O7 0.2114 0.0885 0.4396
O8 0.2189 0.5606 0.6529
O9 0.3620 0.2229 0.7695
O10 0.3658 0.4767 0.0892
O11 0.3998 0.3863 0.4464
O12 0.4142 0.8498 0.1022
O13 0.5281 0.0553 0.0858
O14 0.5356 0.7989 0.7739
O15 0.5508 0.4136 0.6014
O16 0.5974 0.7375 0.2932
O17 0.6902 0.8995 0.4465
O18 0.7306 0.5699 0.6162
O19 0.7415 0.7996 0.9647
O20 0.7949 0.2050 0.0715
O21 0.8173 0.3094 0.2685
O22 0.8802 0.7108 0.6413
O23 0.8992 0.2420 0.6158
O24 0.9363 0.4350 0.9347

7.
Calculated powder XRD pattern of LiNbO3 for Cu Kα (weighted mean of Kα1 and Kα2), from the GGA-PBE geometry in the Materials Project.
Kinematic intensities with the Lorentz-polarization factor, no thermal factor.

Principal peaks in the range 5° ≤ 2θ ≤ 70°, low angle first:
18.3 deg, I 94
20.3 deg, I 100
31.4 deg, I 66
33.9 deg, I 44
38.8 deg, I 82
46.9 deg, I 28
51.1 deg, I 34
59.1 deg, I 25

Crystal structure
Cell lengths 5.7265, 5.7265, 5.7265 Å; angles 54.96, 54.96, 54.96 degrees
Positions (direct):
Li1 0.1378 0.1378 0.1378
Li2 0.8622 0.8622 0.8622
Nb1 0.3556 0.3556 0.3556
Nb2 0.6444 0.6444 0.6444
O1 0.0621 0.7161 0.4542
O2 0.2839 0.5458 0.9379
O3 0.4542 0.0622 0.7161
O4 0.5458 0.9379 0.2839
O5 0.7161 0.4542 0.0621
O6 0.9379 0.2839 0.5458

8.
Calculated powder XRD pattern of Rb2ZnH4 for Cu Kα (weighted mean of Kα1 and Kα2), from the GGA-PBE geometry in the Materials Project.
Kinematic intensities with the Lorentz-polarization factor, no thermal factor.

Principal peaks in the range 5° ≤ 2θ ≤ 70°, low angle first:
24.7 deg, I 72
27.4 deg, I 34
27.5 deg, I 100
29.0 deg, I 86
29.3 deg, I 71
37.0 deg, I 19
40.5 deg, I 34
50.0 deg, I 18

Crystal structure
Cell lengths 8.2109, 6.0911, 10.6949 Å; angles 90.00, 90.00, 90.00 degrees
Positions (direct):
Rb1 0.0149 0.2500 0.1863
Rb2 0.1607 0.7500 0.4064
Rb3 0.3393 0.2500 0.9064
Rb4 0.4851 0.7500 0.6863
Rb5 0.5149 0.2500 0.3137
Rb6 0.6607 0.7500 0.0936
Rb7 0.8393 0.2500 0.5936
Rb8 0.9851 0.7500 0.8137
Zn1 0.2398 0.7500 0.0826
Zn2 0.2602 0.2500 0.5826
Zn3 0.7398 0.7500 0.4174
Zn4 0.7602 0.2500 0.9174
H1 0.0377 0.7500 0.0916
H2 0.1864 0.0265 0.6529
H3 0.1864 0.4735 0.6529
H4 0.1943 0.2500 0.4344
H5 0.3057 0.7500 0.9344
H6 0.3136 0.5265 0.1529
H7 0.3136 0.9735 0.1529
H8 0.4623 0.2500 0.5916
H9 0.5377 0.7500 0.4084
H10 0.6864 0.0265 0.8471
H11 0.6864 0.4735 0.8471
H12 0.6943 0.2500 0.0656
H13 0.8057 0.7500 0.5656
H14 0.8136 0.5265 0.3471
H15 0.8136 0.9735 0.3471
H16 0.9623 0.2500 0.9084

9.
Calculated powder XRD pattern of Ca4CrN4 for Cu Kα (weighted mean of Kα1 and Kα2), from the GGA-PBE geometry in the Materials Project.
Kinematic intensities with the Lorentz-polarization factor, no thermal factor.

Principal peaks in the range 5° ≤ 2θ ≤ 70°, low angle first:
22.7 deg, I 22
31.1 deg, I 62
31.5 deg, I 75
33.0 deg, I 23
34.3 deg, I 25
36.0 deg, I 27
36.4 deg, I 100
39.0 deg, I 23

Crystal structure
Cell lengths 11.2039, 4.9363, 10.9802 Å; angles 90.00, 90.00, 90.00 degrees
Positions (direct):
Ca1 0.0578 0.2500 0.1116
Ca2 0.0922 0.7500 0.3142
Ca3 0.1275 0.7500 0.6590
Ca4 0.2260 0.2500 0.4736
Ca5 0.2740 0.7500 0.9736
Ca6 0.3725 0.2500 0.1590
Ca7 0.4078 0.2500 0.8142
Ca8 0.4422 0.7500 0.6116
Ca9 0.5578 0.2500 0.3884
Ca10 0.5922 0.7500 0.1858
Ca11 0.6275 0.7500 0.8410
Ca12 0.7260 0.2500 0.0264
Ca13 0.7740 0.7500 0.5264
Ca14 0.8725 0.2500 0.3410
Ca15 0.9078 0.2500 0.6858
Ca16 0.9422 0.7500 0.8884
Cr1 0.1327 0.2500 0.8508
Cr2 0.3673 0.7500 0.3508
Cr3 0.6327 0.2500 0.6492
Cr4 0.8673 0.7500 0.1492
N1 0.0133 0.7500 0.1061
N2 0.0757 0.2500 0.3291
N3 0.1663 0.2500 0.6972
N4 0.2380 0.2500 0.9693
N5 0.2620 0.7500 0.4693
N6 0.3337 0.7500 0.1972
N7 0.4243 0.7500 0.8291
N8 0.4867 0.2500 0.6061
N9 0.5133 0.7500 0.3939
N10 0.5757 0.2500 0.1709
N11 0.6663 0.2500 0.8028
N12 0.7380 0.2500 0.5307
N13 0.7620 0.7500 0.0307
N14 0.8337 0.7500 0.3028
N15 0.9243 0.7500 0.6709
N16 0.9867 0.2500 0.8939

Copy entry 7 word for word.
Calculated powder XRD pattern of LiNbO3 for Cu Kα (weighted mean of Kα1 and Kα2), from the GGA-PBE geometry in the Materials Project.
Kinematic intensities with the Lorentz-polarization factor, no thermal factor.

Principal peaks in the range 5° ≤ 2θ ≤ 70°, low angle first:
18.3 deg, I 94
20.3 deg, I 100
31.4 deg, I 66
33.9 deg, I 44
38.8 deg, I 82
46.9 deg, I 28
51.1 deg, I 34
59.1 deg, I 25

Crystal structure
Cell lengths 5.7265, 5.7265, 5.7265 Å; angles 54.96, 54.96, 54.96 degrees
Positions (direct):
Li1 0.1378 0.1378 0.1378
Li2 0.8622 0.8622 0.8622
Nb1 0.3556 0.3556 0.3556
Nb2 0.6444 0.6444 0.6444
O1 0.0621 0.7161 0.4542
O2 0.2839 0.5458 0.9379
O3 0.4542 0.0622 0.7161
O4 0.5458 0.9379 0.2839
O5 0.7161 0.4542 0.0621
O6 0.9379 0.2839 0.5458